1.
Diffraction record for POF3. The powder diffraction line list is simulated, not measured: it uses a cell relaxed with PBE and CuKα.

Crystal structure
```
data_POF3
_cell_length_a 4.945
_cell_length_b 6.628
_cell_length_c 5.133
_cell_angle_alpha 90.00
_cell_angle_beta 90.13
_cell_angle_gamma 90.00
_symmetry_space_group_name_H-M 'P 1 m 1'
_symmetry_Int_Tables_number 6
_symmetry_space_group_name_Hall 'P -2y'
loop_
_atom_site_label
_atom_site_fract_x
_atom_site_fract_y
_atom_site_fract_z
P1 0.000 0.000 0.000
P2 0.500 0.500 0.361
O1 0.207 0.500 0.348
O2 0.706 0.000 0.012
F1 0.134 0.181 0.860
F2 0.150 0.000 0.265
F3 0.634 0.319 0.501
F4 0.650 0.500 0.096
```

Principal peaks in the range 10° ≤ 2θ ≤ 90°, in order of rising 2θ:
| hkl | 2θ (°) | intensity |
| --- | --- | --- |
| 0 0 1 | 17.3 | 18 |
| 0 1 1 | 21.9 | 96 |
| 1 1 0 | 22.4 | 100 |
| 1 0 -1 | 25.0 | 52 |
| 0 2 0 | 26.9 | 21 |
| 0 2 1 | 32.2 | 35 |
| 0 0 2 | 35.0 | 11 |
| 2 0 0 | 36.3 | 22 |
| 1 2 1 | 37.1 | 29 |
| 1 0 2 | 39.6 | 20 |
| 1 3 1 | 48.5 | 15 |
| 3 2 1 | 65.8 | 11 |


2.
Diffraction record for RbInTe2Au. The powder diffraction line list is simulated, not measured: it uses a cell relaxed with PBE and CuKα.

Crystal structure
```
data_RbInTe2Au
_cell_length_a 7.282
_cell_length_b 15.087
_cell_length_c 6.821
_cell_angle_alpha 90.00
_cell_angle_beta 90.00
_cell_angle_gamma 90.00
_symmetry_space_group_name_H-M 'C m m e'
_symmetry_Int_Tables_number 67
_symmetry_space_group_name_Hall '-C 2a 2'
loop_
_atom_site_label
_atom_site_fract_x
_atom_site_fract_y
_atom_site_fract_z
Rb1 0.000 0.250 0.232
In1 0.250 0.000 0.500
Te1 0.000 0.126 0.737
Au1 0.000 0.000 0.000
```

Principal peaks in the range 10° ≤ 2θ ≤ 90°, in order of rising 2θ:
| hkl | 2θ (°) | intensity |
| --- | --- | --- |
| 0 2 0 | 11.7 | 100 |
| 2 0 0 | 24.4 | 68 |
| 1 3 1 | 25.2 | 98 |
| 2 0 1 | 27.8 | 53 |
| 0 2 2 | 28.7 | 86 |
| 2 2 1 | 30.2 | 86 |
| 1 5 1 | 34.8 | 46 |
| 0 4 2 | 35.5 | 68 |
| 2 4 1 | 36.8 | 66 |
| 3 3 1 | 43.5 | 42 |
| 2 6 1 | 45.8 | 29 |
| 4 0 0 | 50.1 | 40 |


3.
Diffraction record for Li10SnP2Se12. The powder diffraction line list is simulated, not measured: it uses a cell relaxed with PBE and CuKα.

Crystal structure
```
data_Li10SnP2Se12
_cell_length_a 9.038
_cell_length_b 9.438
_cell_length_c 13.853
_cell_angle_alpha 91.49
_cell_angle_beta 90.52
_cell_angle_gamma 90.46
_symmetry_space_group_name_H-M 'P 1'
_symmetry_Int_Tables_number 1
_symmetry_space_group_name_Hall 'P 1'
loop_
_atom_site_label
_atom_site_fract_x
_atom_site_fract_y
_atom_site_fract_z
Li1 0.000 0.000 0.000
Li2 0.000 0.048 0.564
Li3 0.012 0.495 0.121
Li4 0.012 0.537 0.889
Li5 0.020 0.989 0.283
Li6 0.022 0.547 0.645
Li7 0.030 0.077 0.797
Li8 0.226 0.291 0.386
Li9 0.272 0.771 0.687
Li10 0.282 0.735 0.174
Li11 0.502 0.048 0.770
Li12 0.515 0.048 0.492
Li13 0.518 0.534 0.926
Li14 0.520 0.547 0.646
Li15 0.528 0.995 0.989
Li16 0.536 0.495 0.323
Li17 0.567 0.991 0.260
Li18 0.735 0.301 0.060
Li19 0.762 0.304 0.595
Li20 0.989 0.596 0.397
Sn1 0.287 0.778 0.452
Sn2 0.764 0.274 0.823
P1 0.260 0.792 0.945
P2 0.263 0.304 0.627
P3 0.767 0.742 0.140
P4 0.788 0.256 0.320
Se1 0.000 0.265 0.238
Se2 0.042 0.774 0.546
Se3 0.059 0.325 0.535
Se4 0.059 0.815 0.851
Se5 0.250 0.090 0.690
Se6 0.256 0.576 0.008
Se7 0.263 0.568 0.331
Se8 0.267 0.960 0.062
Se9 0.269 0.482 0.737
Se10 0.300 0.003 0.351
Se11 0.464 0.324 0.534
Se12 0.465 0.798 0.856
Se13 0.506 0.792 0.569
Se14 0.528 0.248 0.919
Se15 0.567 0.718 0.230
Se16 0.591 0.268 0.221
Se17 0.761 0.962 0.087
Se18 0.764 0.438 0.426
Se19 0.774 0.068 0.698
Se20 0.774 0.511 0.738
Se21 0.779 0.573 0.023
Se22 0.782 0.050 0.396
Se23 0.976 0.718 0.228
Se24 0.985 0.259 0.939
```

Principal peaks in the range 10° ≤ 2θ ≤ 90°, in order of rising 2θ:
| hkl | 2θ (°) | intensity |
| --- | --- | --- |
| 1 -1 2 | 18.5 | 25 |
| 2 1 -1 | 22.7 | 25 |
| 2 1 -2 | 25.2 | 25 |
| 0 2 -3 | 26.7 | 32 |
| 2 -2 0 | 27.2 | 35 |
| 0 2 3 | 27.4 | 100 |
| 2 0 -3 | 27.5 | 54 |
| 2 0 3 | 27.8 | 56 |
| 0 3 -1 | 29.0 | 26 |
| 0 4 0 | 38.2 | 21 |
| 4 0 0 | 39.9 | 32 |
| 2 -3 4 | 43.3 | 43 |


4.
Diffraction record for CaTiP2O7. The powder diffraction line list is simulated, not measured: it uses a cell relaxed with PBE and CuKα.

Crystal structure
```
data_CaTiP2O7
_cell_length_a 6.598
_cell_length_b 6.653
_cell_length_c 6.669
_cell_angle_alpha 67.82
_cell_angle_beta 81.36
_cell_angle_gamma 81.49
_symmetry_space_group_name_H-M 'P -1'
_symmetry_Int_Tables_number 2
_symmetry_space_group_name_Hall '-P 1'
loop_
_atom_site_label
_atom_site_fract_x
_atom_site_fract_y
_atom_site_fract_z
Ca1 0.079 0.229 0.239
Ti1 0.380 0.417 0.696
P1 0.120 0.715 0.255
P2 0.395 0.860 0.842
O1 0.023 0.850 0.390
O2 0.037 0.388 0.820
O3 0.223 0.893 0.040
O4 0.289 0.723 0.755
O5 0.290 0.534 0.361
O6 0.412 0.268 0.047
O7 0.426 0.089 0.691
```

Principal peaks in the range 10° ≤ 2θ ≤ 90°, in order of rising 2θ:
| hkl | 2θ (°) | intensity |
| --- | --- | --- |
| 0 1 1 | 16.3 | 20 |
| 0 2 1 | 27.4 | 67 |
| 1 2 1 | 28.6 | 51 |
| 0 0 2 | 29.1 | 100 |
| 2 0 1 | 29.8 | 99 |
| 2 0 -1 | 32.5 | 66 |
| 1 -2 0 | 33.6 | 34 |
| 0 1 -2 | 37.2 | 29 |
| 2 2 0 | 38.3 | 18 |
| 0 3 1 | 41.2 | 23 |
| -3 2 1 | 54.6 | 19 |
| 1 4 2 | 56.0 | 17 |